[1]
Calculated XRD peak list of AlPt3 for Cu Ka, from a cell relaxed with PBE.
Neutral-atom scattering factors, no anomalous dispersion.

Most intense lines, 2θ = 10–90°, most intense first:
| d_spacing | 2θ (°) | Rel. int. |
| --- | --- | --- |
| 2.265 | 39.80 | 100.0 |
| 1.950 | 46.57 | 27.7 |
| 2.356 | 38.20 | 22.2 |
| 1.193 | 80.48 | 21.6 |
| 2.782 | 32.17 | 20.0 |
| 1.985 | 45.71 | 19.8 |
| 1.391 | 67.31 | 18.7 |
| 1.178 | 81.76 | 13.6 |
| 3.901 | 22.80 | 13.3 |
| 1.319 | 71.51 | 11.3 |
| 1.805 | 50.58 | 10.1 |
| 3.970 | 22.40 | 9.4 |

Structural model:
```
AlPt3
1.0
5.5164 0.0000 0.0000
0.0000 5.5164 0.0000
0.0000 0.0000 7.9393
Al Pt
4 12
Direct
0.0000 0.5000 0.2500
0.0000 0.5000 0.7500
0.5000 0.0000 0.2500
0.5000 0.0000 0.7500
0.0000 0.0000 0.2500
0.0000 0.0000 0.7500
0.2109 0.2891 0.0000
0.2109 0.7109 0.5000
0.2891 0.2109 0.5000
0.2891 0.7891 0.0000
0.5000 0.5000 0.2500
0.5000 0.5000 0.7500
0.7109 0.2109 0.0000
0.7109 0.7891 0.5000
0.7891 0.2891 0.5000
0.7891 0.7109 0.0000
```

---

[2]
Calculated XRD peak list of Al21Pt8 for Cu Ka, from a cell relaxed with PBE.
Neutral-atom scattering factors, no anomalous dispersion.

Most intense lines, 2θ = 10–90°, most intense first:
| d_spacing | 2θ (°) | Rel. int. |
| --- | --- | --- |
| 3.428 | 26.00 | 100.0 |
| 3.501 | 25.44 | 59.0 |
| 3.459 | 25.76 | 44.0 |
| 3.273 | 27.25 | 41.2 |
| 2.001 | 45.33 | 36.6 |
| 2.019 | 44.89 | 29.7 |
| 2.109 | 42.88 | 29.7 |
| 2.024 | 44.77 | 24.0 |
| 3.034 | 29.44 | 22.5 |
| 2.309 | 39.01 | 18.5 |
| 2.061 | 43.92 | 16.0 |
| 3.259 | 27.36 | 15.0 |

Structural model:
```
Al21Pt8
1.0
-6.5187 6.5187 5.3807
6.5187 -6.5187 5.3807
6.5187 6.5187 -5.3807
Al Pt
42 16
Direct
0.0155 0.9286 0.5906
0.0645 0.6718 0.2866
0.0752 0.4845 0.4131
0.0772 0.8051 0.0876
0.1148 0.2221 0.7866
0.1403 0.8809 0.8221
0.1621 0.5752 0.0906
0.1718 0.3852 0.6073
0.1772 0.1358 0.0221
0.1818 0.3597 0.2406
0.2176 0.9896 0.4124
0.2779 0.5645 0.8927
0.3051 0.7176 0.7279
0.3449 0.3228 0.4586
0.3642 0.8862 0.0414
0.3750 0.1250 0.2500
0.3809 0.0588 0.7406
0.3862 0.8449 0.5221
0.4286 0.3379 0.9131
0.4412 0.6818 0.3221
0.4896 0.5772 0.7721
0.5104 0.4228 0.2279
0.5588 0.3182 0.6779
0.5714 0.6621 0.0869
0.6138 0.1551 0.4779
0.6191 0.9412 0.2594
0.6250 0.8750 0.7500
0.6358 0.1138 0.9586
0.6551 0.6772 0.5414
0.6949 0.2824 0.2721
0.7221 0.4355 0.1073
0.7824 0.0104 0.5876
0.8182 0.6403 0.7594
0.8228 0.8642 0.9779
0.8282 0.6148 0.3927
0.8379 0.4248 0.9094
0.8597 0.1191 0.1779
0.8852 0.7779 0.2134
0.9228 0.1949 0.9124
0.9248 0.5155 0.5869
0.9355 0.3282 0.7134
0.9845 0.0714 0.4094
0.0684 0.6315 0.8665
0.0900 0.0634 0.2125
0.1315 0.7650 0.5631
0.2650 0.2019 0.6335
0.2981 0.4316 0.0631
0.3508 0.8775 0.2875
0.3775 0.5900 0.5267
0.4366 0.1492 0.0267
0.5634 0.8508 0.9733
0.6225 0.4100 0.4733
0.6492 0.1225 0.7125
0.7019 0.5684 0.9369
0.7350 0.7981 0.3665
0.8685 0.2350 0.4369
0.9100 0.9366 0.7875
0.9316 0.3685 0.1335
```

---

[3]
Calculated XRD peak list of Al2Pt3 for Cu Ka, from a cell relaxed with PBE.
Neutral-atom scattering factors, no anomalous dispersion.

Most intense lines, 2θ = 10–90°, most intense first:
| d_spacing | 2θ (°) | Rel. int. |
| --- | --- | --- |
| 2.212 | 40.80 | 100.0 |
| 2.185 | 41.32 | 88.1 |
| 3.055 | 29.23 | 80.4 |
| 3.846 | 23.13 | 54.1 |
| 2.272 | 39.67 | 51.4 |
| 1.854 | 49.15 | 40.4 |
| 2.250 | 40.07 | 39.3 |
| 2.403 | 37.42 | 29.4 |
| 1.365 | 68.78 | 21.2 |
| 2.068 | 43.77 | 20.7 |
| 1.651 | 55.67 | 18.5 |
| 1.313 | 71.91 | 18.4 |

Structural model:
```
Al2Pt3
1.0
0.0000 6.4105 2.4532
4.8066 0.0000 2.4532
4.8066 6.4105 0.0000
Al Pt
4 6
Direct
0.0124 0.4876 0.0916
0.1584 0.8416 0.2376
0.4876 0.0124 0.4084
0.8416 0.1584 0.7624
0.0358 0.0358 0.9642
0.2858 0.2858 0.2142
0.4543 0.5908 0.3232
0.5908 0.4543 0.6317
0.6183 0.9268 0.6592
0.9268 0.6183 0.7957
```

---

[4]
Calculated XRD peak list of AlPt4 for Cu Ka, from a cell relaxed with PBE.
Neutral-atom scattering factors, no anomalous dispersion.

Most intense lines, 2θ = 10–90°, most intense first:
| d_spacing | 2θ (°) | Rel. int. |
| --- | --- | --- |
| 2.363 | 38.09 | 100.0 |
| 1.868 | 48.75 | 48.7 |
| 1.259 | 75.49 | 25.3 |
| 2.057 | 44.03 | 24.6 |
| 1.200 | 79.99 | 24.3 |
| 2.954 | 30.26 | 22.2 |
| 2.411 | 37.29 | 21.8 |
| 1.688 | 54.36 | 20.7 |
| 1.392 | 67.25 | 19.6 |
| 1.153 | 83.93 | 10.4 |
| 3.938 | 22.58 | 10.0 |
| 1.116 | 87.36 | 9.7 |

Structural model:
```
AlPt4
1.0
2.7845 0.0000 0.0000
-1.3922 2.4114 0.0000
0.0000 0.0000 11.8149
Al Pt
1 4
Direct
0.0000 0.0000 0.0000
0.3333 0.6667 0.6022
0.3333 0.6667 0.8318
0.6667 0.3333 0.1682
0.6667 0.3333 0.3978
```

---

[5]
Calculated XRD peak list of Al5Pt3 for Cu Ka, from a cell relaxed with PBE.
Neutral-atom scattering factors, no anomalous dispersion.

Most intense lines, 2θ = 10–90°, most intense first:
| d_spacing | 2θ (°) | Rel. int. |
| --- | --- | --- |
| 3.422 | 26.04 | 100.0 |
| 2.977 | 30.01 | 89.0 |
| 2.952 | 30.27 | 53.1 |
| 3.461 | 25.74 | 50.7 |
| 3.408 | 26.15 | 49.2 |
| 2.092 | 43.25 | 41.8 |
| 2.116 | 42.74 | 37.3 |
| 2.123 | 42.58 | 34.5 |
| 2.109 | 42.87 | 23.2 |
| 2.085 | 43.41 | 22.4 |
| 1.788 | 51.09 | 22.0 |
| 2.207 | 40.88 | 20.7 |

Structural model:
```
Al5Pt3
1.0
2.9757 -6.5821 0.0000
2.9757 6.5821 0.0000
-2.8922 0.0000 6.6809
Al Pt
10 6
Direct
0.0000 0.0000 0.0000
0.0531 0.8436 0.6418
0.1984 0.4069 0.3622
0.3363 0.6973 0.7914
0.4069 0.1984 0.3622
0.5050 0.5050 0.0011
0.5465 0.9087 0.2110
0.6973 0.3363 0.7914
0.8436 0.0531 0.6418
0.9087 0.5465 0.2110
0.0968 0.4170 0.0011
0.3711 0.8689 0.5020
0.4170 0.0968 0.0011
0.5997 0.5997 0.6794
0.8689 0.3711 0.5020
0.9135 0.9135 0.3193
```

---

[6]
Calculated XRD peak list of Pu3AlPt3 for Cu Ka, from a cell relaxed with PBE.
Neutral-atom scattering factors, no anomalous dispersion.

Most intense lines, 2θ = 10–90°, most intense first:
| d_spacing | 2θ (°) | Rel. int. |
| --- | --- | --- |
| 2.325 | 38.73 | 100.0 |
| 2.580 | 34.77 | 49.7 |
| 3.386 | 26.32 | 41.4 |
| 2.968 | 30.11 | 41.1 |
| 2.089 | 43.31 | 36.8 |
| 2.300 | 39.16 | 34.3 |
| 2.292 | 39.31 | 30.9 |
| 2.694 | 33.25 | 27.2 |
| 1.546 | 59.81 | 20.5 |
| 2.644 | 33.91 | 20.0 |
| 1.421 | 65.73 | 18.6 |
| 1.544 | 59.91 | 18.5 |

Structural model:
```
Pu3AlPt3
1.0
2.0890 -5.2874 0.0000
2.0890 5.2874 0.0000
0.0000 0.0000 13.8008
Pu Al Pt
6 2 6
Direct
0.0110 0.9890 0.7500
0.2893 0.7107 0.6044
0.2893 0.7107 0.8956
0.7107 0.2893 0.1044
0.7107 0.2893 0.3956
0.9890 0.0110 0.2500
0.0000 0.0000 0.0000
0.0000 0.0000 0.5000
0.2662 0.7338 0.2500
0.4270 0.5730 0.0904
0.4270 0.5730 0.4096
0.5730 0.4270 0.5904
0.5730 0.4270 0.9096
0.7338 0.2662 0.7500
```

---

[7]
Calculated XRD peak list of Pu3Al2Pt6 for Cu Ka, from a cell relaxed with PBE.
Neutral-atom scattering factors, no anomalous dispersion.

Most intense lines, 2θ = 10–90°, most intense first:
| d_spacing | 2θ (°) | Rel. int. |
| --- | --- | --- |
| 2.242 | 40.23 | 100.0 |
| 2.542 | 35.31 | 33.4 |
| 1.294 | 73.12 | 22.6 |
| 3.362 | 26.51 | 21.3 |
| 3.007 | 29.71 | 20.8 |
| 1.543 | 59.96 | 20.2 |
| 2.378 | 37.84 | 14.3 |
| 1.585 | 58.20 | 14.1 |
| 1.434 | 65.05 | 11.8 |
| 6.725 | 13.17 | 10.2 |
| 1.631 | 56.41 | 9.4 |
| 1.249 | 76.24 | 9.2 |

Structural model:
```
Pu3Al2Pt6
1.0
-4.7552 4.7552 4.7552
4.7552 -4.7552 4.7552
4.7552 4.7552 -4.7552
Pu Al Pt
6 4 12
Direct
0.0000 0.2860 0.2860
0.0000 0.7140 0.7140
0.2860 0.0000 0.2860
0.2860 0.2860 0.0000
0.7140 0.0000 0.7140
0.7140 0.7140 0.0000
0.0000 0.0000 0.5000
0.0000 0.5000 0.0000
0.5000 0.0000 0.0000
0.5000 0.5000 0.5000
0.0000 0.3242 0.6758
0.0000 0.6758 0.3242
0.3242 0.0000 0.6758
0.3242 0.3242 0.6485
0.3242 0.6485 0.3242
0.3242 0.6758 0.0000
0.3515 0.6758 0.6758
0.6485 0.3242 0.3242
0.6758 0.0000 0.3242
0.6758 0.3242 0.0000
0.6758 0.3515 0.6758
0.6758 0.6758 0.3515
```

---

[8]
Calculated XRD peak list of Pu2AlPt3 for Cu Ka, from a cell relaxed with PBE.
Neutral-atom scattering factors, no anomalous dispersion.

Most intense lines, 2θ = 10–90°, most intense first:
| d_spacing | 2θ (°) | Rel. int. |
| --- | --- | --- |
| 2.324 | 38.75 | 100.0 |
| 2.404 | 37.41 | 48.9 |
| 1.528 | 60.62 | 23.6 |
| 2.423 | 37.11 | 19.2 |
| 1.370 | 68.48 | 18.3 |
| 1.399 | 66.89 | 16.5 |
| 3.153 | 28.30 | 13.8 |
| 1.209 | 79.23 | 11.7 |
| 2.798 | 31.99 | 10.7 |
| 1.505 | 61.61 | 9.8 |
| 1.199 | 80.05 | 8.0 |
| 4.153 | 21.40 | 6.7 |

Structural model:
```
Pu2AlPt3
1.0
5.5953 0.0000 0.0000
-2.7976 4.8457 0.0000
0.0000 0.0000 8.3058
Pu Al Pt
4 2 6
Direct
0.3333 0.6667 0.0704
0.3333 0.6667 0.4296
0.6667 0.3333 0.5704
0.6667 0.3333 0.9296
0.0000 0.0000 0.0000
0.0000 0.0000 0.5000
0.1685 0.3370 0.7500
0.1685 0.8315 0.7500
0.3370 0.1685 0.2500
0.6630 0.8315 0.7500
0.8315 0.1685 0.2500
0.8315 0.6630 0.2500
```